For Rb2B4O7, a PBE-relaxed structure gives the calculated powder X-ray diffraction pattern in this record (Cu Kα, 1.54184 Å).

Peak list (10 most intense, 2θ = 10–90°, by angle)
2theta  d_spacing  intensity  h k l
24.9  3.578  76.4  1 2 2
26.8  3.326  68.5  0 1 -3
27.8  3.212  65.1  2 0 0
28.3  3.157  73.7  0 3 -1
28.8  3.101  86.9  0 3 1
29.0  3.075  68.2  2 0 2
30.0  2.975  100.0  2 2 0
39.4  2.285  54.0  1 -3 3
41.0  2.201  53.8  0 4 2
42.5  2.129  62.3  2 -3 1

Structure:
abc: 6.735 10.037 10.776
angles: 89.18 76.66 78.70
Element x y z (fractional)
Rb  0.149  0.122  0.047
Rb  0.168  0.517  0.123
Rb  0.258  0.619  0.506
Rb  0.268  0.988  0.408
Rb  0.732  0.012  0.592
Rb  0.742  0.381  0.494
Rb  0.832  0.483  0.877
Rb  0.851  0.878  0.953
B  0.063  0.162  0.739
B  0.203  0.288  0.550
B  0.293  0.913  0.737
B  0.335  0.310  0.749
B  0.351  0.791  0.148
B  0.369  0.558  0.801
B  0.411  0.290  0.319
B  0.425  0.771  0.899
B  0.575  0.229  0.101
B  0.589  0.710  0.681
B  0.631  0.442  0.199
B  0.649  0.209  0.852
B  0.665  0.690  0.251
B  0.707  0.087  0.263
B  0.797  0.712  0.450
B  0.937  0.838  0.261
O  0.038  0.232  0.617
O  0.140  0.843  0.172
O  0.167  0.019  0.692
O  0.183  0.230  0.805
O  0.217  0.303  0.420
O  0.276  0.447  0.818
O  0.289  0.897  0.865
O  0.313  0.654  0.900
O  0.340  0.330  0.609
O  0.376  0.255  0.197
O  0.425  0.821  0.644
O  0.445  0.753  0.248
O  0.470  0.784  0.025
O  0.488  0.423  0.310
O  0.512  0.577  0.690
O  0.530  0.216  0.975
O  0.555  0.247  0.752
O  0.575  0.179  0.356
O  0.624  0.745  0.803
O  0.660  0.670  0.391
O  0.687  0.346  0.100
O  0.711  0.103  0.135
O  0.724  0.553  0.182
O  0.783  0.697  0.580
O  0.817  0.770  0.195
O  0.833  0.981  0.308
O  0.860  0.157  0.828
O  0.962  0.768  0.383